This entry pairs a crystal structure of NdScW2C3 with its theoretical X-ray diffraction stick pattern. Radiation: Cu Kα. Structure: a PBE-relaxed structure.
Intensities are scaled so that the largest is 100.

Principal peaks in the range 2θ from 10° to 90°, low angle first:
2theta, d (Å), intensity
18.4, 4.820, 50
31.3, 2.857, 30
31.6, 2.830, 27
32.8, 2.729, 37
34.1, 2.630, 27
34.7, 2.589, 100
36.3, 2.477, 70
36.7, 2.448, 29
37.3, 2.410, 29
43.5, 2.078, 39

```
NdScW2C3
1.0
5.9074 -1.6544 0.0000
5.9074 1.6544 0.0000
-2.1798 0.0000 5.2593
Nd Sc W C
1 1 2 3
Cartesian
0.0000 0.0000 0.0000
8.4273 0.0000 1.8541
0.9571 0.0000 4.5812
5.4181 0.0000 2.7317
0.7982 0.0000 2.4101
4.1570 0.0000 1.1273
5.6471 0.0000 4.8832
```



This entry pairs a crystal structure of Ta2Tl4S11 with its theoretical X-ray diffraction stick pattern. Radiation: Cu Kα. Structure: a PBE-relaxed structure.
Intensities are scaled so that the largest is 100.

Principal peaks in the range 2θ from 10° to 90°, low angle first:
2theta, d (Å), intensity
14.6, 6.087, 54
17.7, 4.997, 51
19.7, 4.509, 74
22.2, 4.011, 54
23.4, 3.807, 79
23.7, 3.755, 100
29.8, 3.002, 64
30.1, 2.972, 56
31.0, 2.887, 72
31.7, 2.821, 66

```
Ta2Tl4S11
1.0
8.0044 0.0000 0.0000
0.7111 9.0244 0.0000
0.2694 4.0144 12.7903
Ta Tl S
4 8 22
Cartesian
1.3197 4.5009 3.8889
2.8082 1.7753 2.4325
6.1767 11.2634 10.3578
7.6651 8.5379 8.9013
1.2449 10.8030 12.4723
2.5680 11.0351 7.3022
2.3750 6.1180 7.4740
4.4295 5.9980 11.3326
4.5553 7.0407 1.4577
6.6098 6.9207 5.3162
6.4169 2.0037 5.4880
7.7399 2.2358 0.3180
0.7268 8.5298 6.8423
0.4979 2.2145 3.2543
0.8723 6.7938 3.1371
1.4152 7.7055 10.4096
2.4579 4.0481 1.4282
2.2194 0.5461 0.5744
3.6395 9.1648 4.2476
3.3530 3.2478 4.7172
3.5442 5.3142 4.4696
3.5418 3.5976 9.5756
4.5647 9.6911 11.3056
4.4202 3.3476 1.4847
5.4430 9.4411 3.2147
5.4407 7.7246 8.3206
5.6318 9.7909 8.0730
5.3453 3.8739 8.5426
6.7655 12.4926 12.2159
6.5269 8.9906 11.3621
7.5697 5.3332 2.3807
8.1125 6.2449 9.6531
8.4869 10.8242 9.5360
8.2580 4.5089 5.9479
```



This entry pairs a crystal structure of GdTm2Fe9 with its theoretical X-ray diffraction stick pattern. Radiation: Cu Kα. Structure: a PBE-relaxed structure.
Intensities are scaled so that the largest is 100.

Principal peaks in the range 2θ from 10° to 90°, low angle first:
2theta, d (Å), intensity
20.7, 4.285, 15
33.3, 2.692, 53
35.7, 2.514, 58
36.4, 2.468, 35
41.6, 2.169, 39
42.5, 2.128, 100
62.6, 1.484, 18
64.6, 1.443, 13
68.8, 1.364, 23
75.6, 1.257, 21

```
GdTm2Fe9
1.0
2.5145 1.4517 7.9896
-2.5145 1.4517 7.9896
0.0000 -2.9035 7.9896
Gd Tm Fe
1 2 9
Cartesian
0.0000 0.0000 0.0000
0.0000 0.0000 3.4061
0.0000 0.0000 20.5627
-1.2586 -0.7267 9.9640
0.0000 0.0000 7.9761
0.0000 -1.4533 14.0048
-1.2586 0.7267 14.0048
0.0000 0.0000 11.9844
1.2586 -0.7267 9.9640
0.0000 1.4533 9.9640
0.0000 0.0000 15.9927
1.2586 0.7267 14.0048
```



This entry pairs a crystal structure of Ba2Te2PdF2 with its theoretical X-ray diffraction stick pattern. Radiation: Cu Kα. Structure: a PBE-relaxed structure.
Intensities are scaled so that the largest is 100.

Principal peaks in the range 2θ from 10° to 90°, low angle first:
2theta, d (Å), intensity
27.3, 3.273, 32
28.7, 3.113, 100
34.7, 2.583, 29
38.9, 2.314, 41
47.5, 1.915, 13
49.1, 1.857, 45
51.7, 1.770, 21
56.2, 1.636, 14
77.8, 1.228, 11
79.8, 1.201, 11

```
Ba2Te2PdF2
1.0
4.6282 0.0000 0.0000
0.0000 4.6282 0.0000
0.0000 0.0000 8.4150
Ba Te Pd F
2 2 1 2
Cartesian
0.0000 2.3141 1.4016
2.3141 0.0000 7.0134
0.0000 2.3141 5.4096
2.3141 0.0000 3.0054
2.3141 2.3141 4.2075
0.0000 0.0000 0.0000
2.3141 2.3141 0.0000
```



This entry pairs a crystal structure of K3NaHf2Se6 with its theoretical X-ray diffraction stick pattern. Radiation: Cu Kα. Structure: a PBE-relaxed structure.
Intensities are scaled so that the largest is 100.

Principal peaks in the range 2θ from 10° to 90°, low angle first:
2theta, d (Å), intensity
11.7, 7.589, 55
15.0, 5.914, 15
16.4, 5.399, 12
29.7, 3.006, 100
37.6, 2.395, 21
40.7, 2.218, 34
44.3, 2.043, 33
51.1, 1.787, 12
54.2, 1.691, 12
61.7, 1.503, 9

```
K3NaHf2Se6
1.0
3.5355 -6.1364 0.0000
3.5355 6.1364 0.0000
-2.3712 0.0000 7.5894
K Na Hf Se
3 1 2 6
Cartesian
0.0000 0.0000 0.0000
3.5355 1.9144 0.0000
3.5355 -1.9144 0.0000
2.3499 0.0000 3.7947
2.3499 4.0726 3.7947
2.3499 -4.0726 3.7947
1.0551 2.2472 2.2770
-0.2257 0.0000 5.2787
1.0551 -2.2472 2.2770
3.6447 2.2472 5.3123
4.9255 0.0000 2.3106
3.6447 -2.2472 5.3123
```



This entry pairs a crystal structure of YEr2Tl3 with its theoretical X-ray diffraction stick pattern. Radiation: Cu Kα. Structure: a PBE-relaxed structure.
Intensities are scaled so that the largest is 100.

Principal peaks in the range 2θ from 10° to 90°, low angle first:
2theta, d (Å), intensity
33.2, 2.702, 100
34.9, 2.570, 44
44.9, 2.020, 11
50.2, 1.817, 16
58.1, 1.588, 20
61.5, 1.508, 34
69.6, 1.351, 12
75.3, 1.263, 10
83.3, 1.160, 7
84.3, 1.149, 7

```
YEr2Tl3
1.0
3.6342 0.0000 0.0000
0.0000 3.6342 0.0000
0.0000 0.0000 12.1186
Y Er Tl
1 2 3
Cartesian
0.0000 0.0000 0.0000
0.0000 0.0000 4.0511
0.0000 0.0000 8.0675
1.8171 1.8171 2.0477
1.8171 1.8171 6.0593
1.8171 1.8171 10.0708
```



This entry pairs a crystal structure of TlCo8 with its theoretical X-ray diffraction stick pattern. Radiation: Cu Kα. Structure: a PBE-relaxed structure.
Intensities are scaled so that the largest is 100.

Principal peaks in the range 2θ from 10° to 90°, low angle first:
2theta, d (Å), intensity
12.3, 7.211, 47
28.7, 3.114, 54
30.6, 2.917, 51
33.7, 2.657, 61
37.6, 2.390, 49
42.2, 2.141, 100
44.5, 2.037, 97
44.7, 2.027, 73
45.3, 2.002, 93
52.4, 1.748, 42

```
TlCo8
1.0
3.8996 -1.7475 0.0000
3.8996 1.7475 0.0000
-0.1063 0.0000 28.8421
Tl Co
2 16
Cartesian
0.3513 0.0000 7.3217
7.3417 0.0000 21.5204
0.2905 0.0000 27.6602
1.0647 0.0000 25.3100
1.1628 0.0000 4.3094
1.9345 0.0000 1.9627
1.8667 0.0000 23.0559
2.6235 0.0000 28.4458
3.4163 0.0000 26.0947
3.4956 0.0000 5.0662
4.1974 0.0000 23.7759
4.2767 0.0000 2.7474
5.0695 0.0000 0.3963
5.8263 0.0000 5.7862
5.7585 0.0000 26.8794
6.5302 0.0000 24.5327
6.6283 0.0000 3.5321
7.4025 0.0000 1.1819
```



This entry pairs a crystal structure of DyZn8Cu4 with its theoretical X-ray diffraction stick pattern. Radiation: Cu Kα. Structure: a PBE-relaxed structure.
Intensities are scaled so that the largest is 100.

Principal peaks in the range 2θ from 10° to 90°, low angle first:
2theta, d (Å), intensity
29.1, 3.073, 22
35.7, 2.517, 51
36.3, 2.474, 17
41.2, 2.193, 60
41.4, 2.183, 100
41.9, 2.154, 66
47.0, 1.934, 36
68.8, 1.365, 21
75.2, 1.264, 23
75.6, 1.258, 23

```
DyZn8Cu4
1.0
-4.3851 4.3851 2.4735
4.3851 -4.3851 2.4735
4.3851 4.3851 -2.4735
Dy Zn Cu
1 8 4
Cartesian
0.0000 0.0000 0.0000
3.0496 0.0000 0.0000
5.7206 0.0000 0.0000
4.3851 2.4698 0.0000
0.0000 3.0496 0.0000
2.4698 4.3851 0.0000
1.9153 0.0000 2.4735
0.0000 5.7206 0.0000
0.0000 1.9153 2.4735
2.1926 2.1926 -1.2368
2.1926 -2.1926 1.2368
-2.1926 2.1926 1.2368
2.1926 2.1926 1.2368
```



This entry pairs a crystal structure of DyEr2Fe7Ni2 with its theoretical X-ray diffraction stick pattern. Radiation: Cu Kα. Structure: a PBE-relaxed structure.
Intensities are scaled so that the largest is 100.

Principal peaks in the range 2θ from 10° to 90°, low angle first:
2theta, d (Å), intensity
32.9, 2.724, 52
35.9, 2.503, 33
36.0, 2.496, 55
42.0, 2.153, 34
42.4, 2.131, 100
62.7, 1.481, 16
64.7, 1.442, 22
69.0, 1.362, 13
69.1, 1.359, 21
76.3, 1.248, 19

```
DyEr2Fe7Ni2
1.0
2.4957 1.4409 8.1851
-2.4957 1.4409 8.1851
0.0000 -2.8818 8.1851
Dy Er Fe Ni
1 2 7 2
Cartesian
0.0000 0.0000 0.0000
0.0000 0.0000 3.4839
0.0000 0.0000 21.0714
-1.2474 -0.7202 10.2101
0.0000 -1.4404 14.3451
-1.2474 0.7202 14.3451
0.0000 0.0000 12.2776
1.2474 -0.7202 10.2102
0.0000 1.4404 10.2102
1.2474 0.7202 14.3451
0.0000 0.0000 8.1695
0.0000 0.0000 16.3858
```



This entry pairs a crystal structure of Te2WSe2Br with its theoretical X-ray diffraction stick pattern. Radiation: Cu Kα. Structure: a PBE-relaxed structure.
Intensities are scaled so that the largest is 100.

Principal peaks in the range 2θ from 10° to 90°, low angle first:
2theta, d (Å), intensity
11.2, 7.869, 81
13.0, 6.810, 100
14.4, 6.161, 67
27.0, 3.302, 31
30.5, 2.928, 16
30.8, 2.899, 18
32.7, 2.739, 29
35.8, 2.509, 19
37.3, 2.410, 19
37.5, 2.399, 18

```
Te2WSe2Br
1.0
6.6857 0.0000 0.0000
-3.3321 7.1497 0.0000
-1.1798 -2.5174 7.8689
Te W Se Br
4 2 4 2
Cartesian
0.0054 -0.5651 2.0678
-1.1609 4.0002 5.6122
3.3346 0.6321 2.2568
2.1684 5.1974 5.8012
-2.6360 4.6313 7.8645
4.8098 0.0010 0.0045
0.0023 1.7237 0.9512
0.0076 5.3372 1.0904
2.1662 -0.7049 6.7786
2.1715 2.9086 6.9177
-1.1521 1.1614 5.4213
3.3259 3.4709 2.4476
```



This entry pairs a crystal structure of Cs2AlZnCl6 with its theoretical X-ray diffraction stick pattern. Radiation: Cu Kα. Structure: a PBE-relaxed structure.
Intensities are scaled so that the largest is 100.

Principal peaks in the range 2θ from 10° to 90°, low angle first:
2theta, d (Å), intensity
24.6, 3.622, 100
30.1, 2.965, 17
30.2, 2.955, 50
35.0, 2.561, 77
43.3, 2.090, 32
50.3, 1.813, 25
50.5, 1.809, 25
56.8, 1.620, 22
59.9, 1.544, 17
62.9, 1.477, 12

```
Cs2AlZnCl6
1.0
3.6174 2.0885 5.9298
-3.6174 2.0885 5.9298
0.0000 -4.1771 5.9298
Cs Al Zn Cl
2 1 1 6
Cartesian
0.0000 0.0000 0.0000
0.0000 0.0000 8.8713
0.0000 0.0000 4.4315
0.0000 0.0000 13.3215
0.0000 -1.9483 3.0588
-1.6871 -0.9741 5.8143
-1.6873 0.9741 3.0588
1.6871 -0.9741 5.8143
0.0000 1.9481 5.8143
1.6873 0.9741 3.0588
```



This entry pairs a crystal structure of U with its theoretical X-ray diffraction stick pattern. Radiation: Cu Kα. Structure: a PBE-relaxed structure.
Intensities are scaled so that the largest is 100.

Principal peaks in the range 2θ from 10° to 90°, low angle first:
2theta, d (Å), intensity
35.7, 2.517, 76
35.8, 2.509, 100
36.7, 2.446, 53
40.3, 2.238, 54
52.1, 1.754, 53
61.0, 1.518, 47
65.6, 1.424, 18
78.5, 1.219, 23
85.0, 1.141, 20
89.0, 1.100, 13

```
U
1.0
1.3944 -2.9220 0.0000
1.3944 2.9220 0.0000
0.0000 0.0000 4.8917
U
2
Cartesian
1.3944 2.3512 3.6688
1.3944 -2.3512 1.2229
```



This entry pairs a crystal structure of Ge5Au2 with its theoretical X-ray diffraction stick pattern. Radiation: Cu Kα. Structure: a PBE-relaxed structure.
Intensities are scaled so that the largest is 100.

Principal peaks in the range 2θ from 10° to 90°, low angle first:
2theta, d (Å), intensity
23.6, 3.776, 37
23.8, 3.742, 13
27.3, 3.263, 41
38.9, 2.315, 100
39.2, 2.299, 91
46.1, 1.969, 15
56.4, 1.631, 31
70.4, 1.337, 17
70.6, 1.334, 32
71.2, 1.324, 12

```
Ge5Au2
1.0
2.3151 1.3366 7.4836
-2.3151 1.3366 7.4836
0.0000 -2.6733 7.4836
Ge Au
5 2
Cartesian
0.0000 0.0000 0.0000
0.0000 0.0000 2.6385
0.0000 0.0000 5.5366
0.0000 0.0000 11.1715
0.0000 0.0000 14.1450
0.0000 0.0000 8.4985
0.0000 0.0000 19.4307
```